No. 1
For TbNbNO, a crystal structure in OQMD, relaxed with GGA-PBE gives the calculated PXRD pattern in this record (Cu Kα X-rays).
No peak broadening, texture or thermal motion is included.

Principal peaks in the range 10° ≤ 2θ ≤ 90°, in order of falling intensity:
d/Å  I_rel
2.683  1000
3.310  361
2.670  327
2.290  322
3.286  273
1.915  267
1.902  264
1.463  217
1.470  142
1.557  140

Atomic structure:
```
TbNbNO
1.0
7.664 0.000 0.000
0.000 6.572 0.000
0.000 0.000 4.581
Tb Nb N O
4 4 4 4
direct
0.132 0.052 0.250
0.132 0.448 0.750
0.868 0.552 0.250
0.868 0.948 0.750
0.372 0.609 0.250
0.372 0.891 0.750
0.628 0.109 0.250
0.628 0.391 0.750
0.409 0.581 0.750
0.409 0.919 0.250
0.591 0.081 0.750
0.591 0.419 0.250
0.147 0.098 0.750
0.147 0.402 0.250
0.853 0.598 0.750
0.853 0.902 0.250
```



No. 2
For Li4MgAlHg2, a crystal structure in OQMD, relaxed with GGA-PBE gives the calculated PXRD pattern in this record (Cu Kα X-rays).
No peak broadening, texture or thermal motion is included.

Principal peaks in the range 10° ≤ 2θ ≤ 90°, in order of falling intensity:
d/Å  I_rel
3.740  1000
2.290  604
1.953  517
3.239  410
1.486  214
1.322  209
1.449  155
1.870  119
1.095  111
1.620  103

Atomic structure:
```
Li4MgAlHg2
1.0
4.579 0.000 0.000
0.000 4.579 0.000
0.000 0.000 6.485
Li Mg Al Hg
4 1 1 2
direct
0.000 0.000 0.000
0.000 0.500 0.240
0.500 0.000 0.760
0.500 0.500 0.500
0.000 0.000 0.500
0.500 0.500 0.000
0.000 0.500 0.761
0.500 0.000 0.239
```



No. 3
For Sm4C2I2Cl3, a crystal structure in OQMD, relaxed with GGA-PBE gives the calculated PXRD pattern in this record (Cu Kα X-rays).
No peak broadening, texture or thermal motion is included.

Principal peaks in the range 10° ≤ 2θ ≤ 90°, in order of falling intensity:
d/Å  I_rel
2.783  1000
7.807  744
3.212  682
2.096  377
2.109  297
3.476  217
2.710  207
1.660  193
1.939  179
2.734  147

Atomic structure:
```
Sm4C2I2Cl3
1.0
9.857 -1.939 0.000
9.857 1.939 0.000
-1.688 0.000 7.807
Sm C I Cl
4 2 2 3
direct
0.002 0.002 0.208
0.348 0.348 0.904
0.652 0.652 0.096
0.998 0.998 0.792
0.463 0.463 0.980
0.537 0.537 0.020
0.168 0.168 0.797
0.832 0.832 0.203
0.151 0.151 0.344
0.500 0.500 0.500
0.849 0.849 0.656
```



No. 4
For Sm2HoCo2B2C3, a crystal structure in OQMD, relaxed with GGA-PBE gives the calculated PXRD pattern in this record (Cu Kα X-rays).
No peak broadening, texture or thermal motion is included.

Principal peaks in the range 10° ≤ 2θ ≤ 90°, in order of falling intensity:
d/Å  I_rel
3.194  1000
2.714  792
2.572  466
2.478  382
2.553  372
1.805  348
1.477  324
1.571  269
1.503  269
2.287  262

Atomic structure:
```
Sm2HoCo2B2C3
1.0
-1.805 1.805 10.288
1.805 -1.805 10.288
1.805 1.805 -10.288
Sm Ho Co B C
2 1 2 2 3
direct
0.125 0.125 0.000
0.875 0.875 0.000
0.500 0.500 0.000
0.250 0.750 0.500
0.750 0.250 0.500
0.305 0.305 0.000
0.695 0.695 0.000
0.000 0.000 0.000
0.378 0.378 0.000
0.622 0.622 0.000
```



No. 5
For Dy3MgIn2PdPt2, a crystal structure in OQMD, relaxed with GGA-PBE gives the calculated PXRD pattern in this record (Cu Kα X-rays).
No peak broadening, texture or thermal motion is included.

Principal peaks in the range 10° ≤ 2θ ≤ 90°, in order of falling intensity:
d/Å  I_rel
2.724  1000
2.517  511
2.524  494
2.199  305
2.501  299
1.946  243
1.414  197
6.613  190
1.457  165
2.105  157

Atomic structure:
```
Dy3MgIn2PdPt2
1.0
3.893 0.000 0.000
0.000 6.629 3.802
0.000 -6.629 3.802
Dy Mg In Pd Pt
3 1 2 1 2
direct
0.000 0.000 0.000
0.000 0.178 0.593
0.000 0.593 0.178
0.500 0.339 0.339
0.500 0.590 0.844
0.500 0.844 0.590
0.000 0.584 0.584
0.500 0.260 0.933
0.500 0.933 0.260
```



No. 6
For LiHoBeSe3, a crystal structure in OQMD, relaxed with GGA-PBE gives the calculated PXRD pattern in this record (Cu Kα X-rays).
No peak broadening, texture or thermal motion is included.

Principal peaks in the range 10° ≤ 2θ ≤ 90°, in order of falling intensity:
d/Å  I_rel
6.479  1000
2.877  757
2.183  660
2.541  601
3.151  519
5.410  381
2.780  370
1.999  368
2.496  288
3.499  277

Atomic structure:
```
LiHoBeSe3
1.0
1.929 -6.479 0.000
1.929 6.479 0.000
0.000 0.000 10.821
Li Ho Be Se
2 2 2 6
direct
0.213 0.787 0.750
0.787 0.213 0.250
0.000 0.000 0.000
0.000 0.000 0.500
0.472 0.528 0.250
0.528 0.472 0.750
0.078 0.922 0.250
0.362 0.638 0.089
0.362 0.638 0.411
0.638 0.362 0.589
0.638 0.362 0.911
0.922 0.078 0.750
```



Repeat the second record exactly.
For Li4MgAlHg2, a crystal structure in OQMD, relaxed with GGA-PBE gives the calculated PXRD pattern in this record (Cu Kα X-rays).
No peak broadening, texture or thermal motion is included.

Principal peaks in the range 10° ≤ 2θ ≤ 90°, in order of falling intensity:
d/Å  I_rel
3.740  1000
2.290  604
1.953  517
3.239  410
1.486  214
1.322  209
1.449  155
1.870  119
1.095  111
1.620  103

Atomic structure:
```
Li4MgAlHg2
1.0
4.579 0.000 0.000
0.000 4.579 0.000
0.000 0.000 6.485
Li Mg Al Hg
4 1 1 2
direct
0.000 0.000 0.000
0.000 0.500 0.240
0.500 0.000 0.760
0.500 0.500 0.500
0.000 0.000 0.500
0.500 0.500 0.000
0.000 0.500 0.761
0.500 0.000 0.239
```